Computed powder XRD pattern of Ce2Al6CuAu for copper Kα, from the PBE geometry in the Materials Project.
Kinematic intensities with the Lorentz-polarization factor, no thermal factor.

Structure:
```
data_Ce2Al6CuAu
_chemical_formula_sum 'Ce2 Al6 Cu1 Au1'
_symmetry_space_group_name_H-M 'P 4 m m'
_symmetry_Int_Tables_number 99
_cell_length_a 4.2913
_cell_length_b 4.2913
_cell_length_c 10.6771
_cell_angle_alpha 90.00
_cell_angle_beta 90.00
_cell_angle_gamma 90.00
loop_
_symmetry_equiv_pos_as_xyz
'x,y,z'
'-y,x,z'
'-x,-y,z'
'y,-x,z'
'-x,y,z'
'y,x,z'
'x,-y,z'
'-y,-x,z'
loop_
_atom_site_label
_atom_site_type_symbol
_atom_site_fract_x
_atom_site_fract_y
_atom_site_fract_z
Ce1 Ce 0.0000 0.0000 0.0000
Ce2 Ce 0.5000 0.5000 0.4913
Al1 Al 0.0000 0.0000 0.3977
Al2 Al 0.0000 0.5000 0.2465
Al3 Al 0.0000 0.5000 0.7593
Al4 Al 0.5000 0.5000 0.9119
Cu1 Cu 0.5000 0.5000 0.1341
Au1 Au 0.0000 0.0000 0.6298
```

Principal peaks in the range 5 to 70 degrees two-theta, low angle first:
(0 0 1), 8.3 deg, 10.677 Å, rel. 264
(0 0 2), 16.6 deg, 5.339 Å, rel. 307
(1 0 1), 22.3 deg, 3.982 Å, rel. 312
(1 1 0), 29.4 deg, 3.034 Å, rel. 595
(1 0 3), 32.7 deg, 2.739 Å, rel. 1000
(1 1 2), 34.0 deg, 2.638 Å, rel. 645
(2 0 0), 42.1 deg, 2.146 Å, rel. 467
(1 0 5), 47.6 deg, 1.912 Å, rel. 345
(2 1 3), 54.3 deg, 1.689 Å, rel. 472
(2 1 5), 65.4 deg, 1.427 Å, rel. 264

---

Computed powder XRD pattern of InAgSnS4 for copper Kα, from the PBE geometry in the Materials Project.
Kinematic intensities with the Lorentz-polarization factor, no thermal factor.

Structure:
```
data_InAgSnS4
_chemical_formula_sum 'In4 Ag4 Sn4 S16'
_symmetry_space_group_name_H-M 'I m m a'
_symmetry_Int_Tables_number 74
_symmetry_space_group_name_Hall '-I 2b 2'
_cell_length_a 7.7181
_cell_length_b 7.7582
_cell_length_c 10.9307
_cell_angle_alpha 90.00
_cell_angle_beta 90.00
_cell_angle_gamma 90.00
loop_
_atom_site_label
_atom_site_type_symbol
_atom_site_fract_x
_atom_site_fract_y
_atom_site_fract_z
In1 In 0.0000 0.0000 0.0000
Ag1 Ag 0.0000 0.2500 0.3784
Sn1 Sn 0.2500 0.2500 0.7500
S1 S 0.0000 0.0195 0.7548
S2 S 0.2328 0.2500 0.9867
```

Principal peaks in the range 5 to 70 degrees two-theta, low angle first:
(0 1 1), 14.0 deg, 6.318 Å, rel. 110
(0 2 0), 23.0 deg, 3.869 Å, rel. 219
(0 1 3), 27.0 deg, 3.298 Å, rel. 1000
(2 2 0), 32.7 deg, 2.735 Å, rel. 261
(2 3 1), 42.9 deg, 2.108 Å, rel. 167
(0 1 5), 43.0 deg, 2.104 Å, rel. 279
(0 4 0), 46.8 deg, 1.940 Å, rel. 107
(2 2 4), 47.0 deg, 1.933 Å, rel. 423
(4 0 0), 47.1 deg, 1.930 Å, rel. 106
(4 4 0), 68.6 deg, 1.367 Å, rel. 97

---

Computed powder XRD pattern of Ta2FeS4 for copper Kα, from the PBE geometry in the Materials Project.
Kinematic intensities with the Lorentz-polarization factor, no thermal factor.

Structure:
```
data_Ta2FeS4
_chemical_formula_sum 'Ta2 Fe1 S4'
_symmetry_space_group_name_H-M 'P -3 m 1'
_symmetry_Int_Tables_number 164
_symmetry_space_group_name_Hall '-P 3 2"'
_cell_length_a 3.3238
_cell_length_b 3.3238
_cell_length_c 11.9169
_cell_angle_alpha 90.00
_cell_angle_beta 90.00
_cell_angle_gamma 120.00
loop_
_atom_site_label
_atom_site_type_symbol
_atom_site_fract_x
_atom_site_fract_y
_atom_site_fract_z
Ta1 Ta 0.0000 0.0000 0.2403
Fe1 Fe 0.0000 0.0000 0.0000
S1 S 0.3333 0.6667 0.6288
S2 S 0.3333 0.6667 0.8959
```

Principal peaks in the range 5 to 70 degrees two-theta, low angle first:
(0 0 1), 7.4 deg, 11.917 Å, rel. 424
(0 0 2), 14.9 deg, 5.958 Å, rel. 862
(0 0 4), 30.0 deg, 2.979 Å, rel. 167
(1 0 0), 31.1 deg, 2.878 Å, rel. 714
(1 0 1), 32.0 deg, 2.798 Å, rel. 132
(1 0 2), 34.6 deg, 2.592 Å, rel. 804
(1 0 4), 43.7 deg, 2.070 Å, rel. 1000
(1 1 0), 55.3 deg, 1.662 Å, rel. 335
(0 1 6), 56.3 deg, 1.635 Å, rel. 151
(1 1 2), 57.6 deg, 1.601 Å, rel. 170